# 1
Structure and computed powder X-ray diffraction pattern of CeMg6B (the GGA-PBE geometry in the Materials Project; Cu Kα, 1.54184 Å).

Peak list (6 most intense, 10° ≤ 2θ ≤ 90°, by angle)
- 2θ = 14.1°, intensity 677
- 2θ = 17.4°, intensity 285
- 2θ = 20.5°, intensity 188
- 2θ = 25.0°, intensity 379
- 2θ = 35.3°, intensity 1000
- 2θ = 35.5°, intensity 356

Cell and atoms:
Cell lengths 4.322, 7.994, 10.168 Å; angles 90.00, 90.00, 90.00 degrees
Fractional coordinates of all 16 atoms:
Ce  0.000  0.000  0.000
Ce  0.000  0.500  0.500
Mg  0.000  0.000  0.432
Mg  0.000  0.186  0.730
Mg  0.000  0.314  0.230
Mg  0.000  0.500  0.932
Mg  0.000  0.686  0.230
Mg  0.000  0.814  0.730
Mg  0.500  0.000  0.233
Mg  0.500  0.223  0.494
Mg  0.500  0.277  0.994
Mg  0.500  0.500  0.733
Mg  0.500  0.723  0.994
Mg  0.500  0.777  0.494
B  0.500  0.000  0.863
B  0.500  0.500  0.363

# 2
Structure and computed powder X-ray diffraction pattern of CeMg6B (the GGA-PBE geometry in the Materials Project; Cu Kα, 1.54184 Å).

Peak list (6 most intense, 10° ≤ 2θ ≤ 90°, by angle)
- 2θ = 13.5°, intensity 516
- 2θ = 17.1°, intensity 948
- 2θ = 25.4°, intensity 1000
- 2θ = 32.0°, intensity 705
- 2θ = 33.2°, intensity 935
- 2θ = 39.5°, intensity 809

Cell and atoms:
Cell lengths 4.744, 5.660, 13.111 Å; angles 90.00, 90.00, 90.00 degrees
Fractional coordinates of all 16 atoms:
Ce  0.000  0.000  0.000
Ce  0.000  0.500  0.500
Mg  0.000  0.250  0.253
Mg  0.000  0.250  0.753
Mg  0.000  0.750  0.253
Mg  0.000  0.750  0.753
Mg  0.500  0.000  0.161
Mg  0.500  0.000  0.596
Mg  0.500  0.241  0.386
Mg  0.500  0.259  0.886
Mg  0.500  0.500  0.096
Mg  0.500  0.500  0.661
Mg  0.500  0.741  0.886
Mg  0.500  0.759  0.386
B  0.000  0.000  0.420
B  0.000  0.500  0.920